Starting from DFT lattice parameters and positions (GGA-PBE), the X-ray powder pattern of Rb2NbSe3 was computed for λ = 1.5418 Å (Cu Kα).

Crystal structure
a = 7.387 Å, b = 7.865 Å, c = 8.979 Å
α = 74.55°, β = 68.74°, γ = 66.42°
Space group P-1 (No. 2)
Inequivalent atoms, fractional coordinates:
1 Rb 0.088 0.193 0.139 x2
2 Rb 0.337 0.565 0.307 x2
3 Nb 0.379 0.053 0.667 x2
4 Se 0.168 0.371 0.720 x2
5 Se 0.261 0.951 0.486 x2
6 Se 0.387 0.822 0.906 x2

Principal peaks in the range 10 to 90 degrees two-theta, by angle:
d 7.135, 12.4 deg, I 40, hkl 0 1 0; d 3.680, 24.2 deg, I 100, hkl 2 1 1; d 3.460, 25.7 deg, I 100, hkl 0 2 1; d 3.380, 26.4 deg, I 95, hkl 0 1 -2; d 2.810, 31.8 deg, I 33, hkl 2 1 -1; d 2.204, 40.9 deg, I 39, hkl 0 3 -1


Starting from DFT lattice parameters and positions (GGA-PBE), the X-ray powder pattern of NdTe5 was computed for λ = 1.5418 Å (Cu Kα).

Crystal structure
a = 22.042 Å, b = 8.901 Å, c = 4.401 Å
α = 90.00°, β = 90.00°, γ = 90.00°
Space group Pnma (No. 62)
Inequivalent atoms, fractional coordinates:
1 Nd 0.110 0.250 0.035 x4
2 Te 0.000 0.000 0.000 x4
3 Te 0.013 0.750 0.499 x4
4 Te 0.163 0.020 0.543 x8
5 Te 0.243 0.250 0.344 x4

Principal peaks in the range 10 to 90 degrees two-theta, by angle:
d 6.925, 12.8 deg, I 38, hkl 2 1 0; d 3.476, 25.6 deg, I 28, hkl 3 1 1; d 2.879, 31.1 deg, I 100, hkl 3 2 1; d 2.833, 31.6 deg, I 34, hkl 6 2 0; d 2.552, 35.2 deg, I 23, hkl 5 2 1; d 2.225, 40.5 deg, I 23, hkl 0 4 0


Starting from DFT lattice parameters and positions (GGA-PBE), the X-ray powder pattern of Li5NbO4 was computed for λ = 1.5418 Å (Cu Kα).

Crystal structure
a = 5.255 Å, b = 3.023 Å, c = 5.476 Å
α = 90.00°, β = 91.18°, γ = 90.00°
Space group P2/m (No. 10)
Inequivalent atoms, fractional coordinates:
1 Li 0.000 0.000 0.000 x1
2 Li 0.350 0.500 0.145 x2
3 Li 0.378 0.000 0.675 x2
4 Nb 0.000 0.500 0.500 x1
5 O 0.239 0.500 0.820 x2
6 O 0.253 0.000 0.331 x2

Principal peaks in the range 10 to 90 degrees two-theta, by angle:
d 5.475, 16.2 deg, I 100, hkl 0 0 1; d 5.254, 16.9 deg, I 87, hkl 1 0 0; d 3.831, 23.2 deg, I 42, hkl 1 0 -1; d 3.753, 23.7 deg, I 38, hkl 1 0 1; d 2.373, 37.9 deg, I 65, hkl 1 1 -1; d 1.875, 48.6 deg, I 47, hkl 2 0 2


Question: What is the formula in the first record?
Answer: Rb2NbSe3